Starting from DFT lattice parameters and positions (PBE+U), the XRD peak list of MgFe7Ni6O16 was simulated for Cu Ka.

Atomic structure:
```
data_MgFe7Ni6O16
_cell_length_a 6.003
_cell_length_b 6.053
_cell_length_c 10.289
_cell_angle_alpha 75.70
_cell_angle_beta 74.75
_cell_angle_gamma 60.67
_symmetry_space_group_name_H-M 'P -1'
_symmetry_Int_Tables_number 2
loop_
_symmetry_equiv_pos_as_xyz
'x,y,z'
'-x,-y,-z'
loop_
_atom_site_label
_atom_site_fract_x
_atom_site_fract_y
_atom_site_fract_z
_atom_site_occupancy
Mg1 0.000 0.000 0.000 1
Fe1 0.247 0.245 0.230 1
Fe2 0.251 0.257 0.769 1
Fe3 0.257 0.756 0.745 1
Fe4 0.500 0.500 0.000 1
Ni1 0.000 0.000 0.500 1
Ni2 0.000 0.500 0.500 1
Ni3 0.240 0.745 0.254 1
Ni4 0.500 0.000 0.500 1
Ni5 0.500 0.500 0.500 1
O1 0.083 0.105 0.151 1
O2 0.106 0.636 0.131 1
O3 0.130 0.145 0.617 1
O4 0.137 0.626 0.624 1
O5 0.357 0.893 0.863 1
O6 0.380 0.361 0.373 1
O7 0.383 0.861 0.378 1
O8 0.396 0.396 0.856 1
```

Top 10 peaks for 2θ = 15–90°, in order of falling intensity:
2θ 41.4, 2.183 Å, I 1000; 2θ 42.2, 2.141 Å, I 925; 2θ 43.5, 2.082 Å, I 818; 2θ 36.5, 2.459 Å, I 785; 2θ 36.1, 2.485 Å, I 436; 2θ 36.6, 2.454 Å, I 391; 2θ 60.9, 1.522 Å, I 279; 2θ 60.3, 1.535 Å, I 256; 2θ 61.3, 1.511 Å, I 255; 2θ 61.9, 1.500 Å, I 252